Sr2Ge3Pt9: theoretical PXRD pattern (Cu Kα), based on a DFT-relaxed cell (GGA-PBE, Alexandria).
Kinematic intensities with the Lorentz-polarization factor, no thermal factor.

Structure:
Cell lengths 7.8702, 7.8702, 10.3496 Å; angles 112.50, 112.50, 59.97 degrees
Positions (direct):
Sr 0.0863 0.2545 0.2497
Sr 0.2545 0.0863 0.7497
Sr 0.7455 0.9137 0.2503
Sr 0.9137 0.7455 0.7503
Ge 0.0000 0.5000 0.0000
Ge 0.1372 0.6819 0.5020
Ge 0.3181 0.8628 0.9980
Ge 0.5000 0.0000 0.5000
Ge 0.6819 0.1372 0.0020
Ge 0.8628 0.3181 0.4980
Pt 0.0278 0.8524 0.0761
Pt 0.1476 0.9722 0.4239
Pt 0.2003 0.3582 0.5734
Pt 0.2104 0.5832 0.2581
Pt 0.3147 0.4861 0.9394
Pt 0.3582 0.2003 0.0734
Pt 0.3672 0.6328 0.7500
Pt 0.4168 0.7896 0.2419
Pt 0.4861 0.3147 0.4394
Pt 0.5139 0.6853 0.5606
Pt 0.5832 0.2104 0.7581
Pt 0.6328 0.3672 0.2500
Pt 0.6418 0.7997 0.9266
Pt 0.6853 0.5139 0.0606
Pt 0.7896 0.4168 0.7419
Pt 0.7997 0.6418 0.4266
Pt 0.8524 0.0278 0.5761
Pt 0.9722 0.1476 0.9239

Peak list (8 most intense, 5° ≤ 2θ ≤ 70°, in order of rising 2θ)
| 2theta | Rel. int. |
| --- | --- |
| 29.8 | 21 |
| 36.9 | 51 |
| 37.0 | 100 |
| 38.5 | 18 |
| 39.7 | 95 |
| 44.4 | 22 |
| 44.4 | 23 |
| 47.2 | 22 |